KNbRuO6: computed X-ray powder pattern (Cu Kα (weighted mean of Kα1 and Kα2)), based on a crystal structure in Alexandria, relaxed with PBE.
Peak positions follow from Bragg's law for the DFT cell and can differ from measured ones.

Structure:
```
KNbRuO6
1.0
5.3296 0.0000 0.0000
-2.6648 4.6156 0.0000
0.0000 0.0000 5.9741
K Nb Ru O
1 1 1 6
direct
0.0000 0.0000 0.0000 K
0.3333 0.6667 0.5337 Nb
0.6667 0.3333 0.4679 Ru
0.3896 0.0151 0.6761 O
0.4043 0.4000 0.3052 O
0.6000 0.0043 0.3052 O
0.6255 0.6104 0.6761 O
0.9849 0.3745 0.6761 O
0.9957 0.5957 0.3052 O
```

Largest 10 diffraction maxima, most intense first, 2θ from 10° to 90°:
24.37°, I = 100; 14.83°, I = 91; 45.62°, I = 51; 33.63°, I = 36; 36.94°, I = 34; 19.23°, I = 24; 49.90°, I = 20; 54.82°, I = 19; 41.97°, I = 16; 61.52°, I = 16